Starting from a PBE-relaxed structure, the powder XRD pattern of Ga2FeCuPt4 was computed for a wavelength of 1.5418 Å.

Structural model:
```
8
Lattice="4.5429 0.0000 0.0000 0.0000 4.5429 0.0000 0.0000 0.0000 5.6319" Properties=species:S:1:pos:R:3 pbc="T T T"
Ga 0.0000 0.0000 0.0000
Ga 2.2714 2.2714 2.8160
Fe 0.0000 0.0000 2.8160
Cu 2.2714 2.2714 0.0000
Pt 0.0000 2.2714 1.4203
Pt 0.0000 2.2714 4.2117
Pt 2.2714 0.0000 1.4203
Pt 2.2714 0.0000 4.2117
```

Principal peaks in the range 2θ from 10° to 90°, in order of rising 2θ:
2theta	intensity	h k l
27.77	34.4	1 1 0
31.78	12.3	0 0 2
39.68	61.5	2 0 0
42.70	100.0	1 1 2
51.70	13.3	2 0 2
57.37	20.9	2 2 0
64.91	7.0	3 1 0
66.40	6.7	0 0 4
67.09	6.3	2 2 2
74.09	39.0	3 1 2
80.21	15.8	2 0 4
85.50	6.8	4 0 0

=====

Starting from a PBE-relaxed structure, the powder XRD pattern of FeCu5Ge2 was computed for a wavelength of 1.5418 Å.

Structural model:
```
8
Lattice="4.0557 0.0000 0.0000 0.0000 4.0557 0.0000 0.0000 0.0000 6.2191" Properties=species:S:1:pos:R:3 pbc="T T T"
Fe 0.0000 0.0000 0.0000
Cu 0.0000 2.0278 1.5793
Cu 0.0000 2.0278 4.6398
Cu 2.0278 0.0000 1.5793
Cu 2.0278 0.0000 4.6398
Cu 2.0278 2.0278 3.1096
Ge 0.0000 0.0000 3.1096
Ge 2.0278 2.0278 0.0000
```

Principal peaks in the range 2θ from 10° to 90°, in order of rising 2θ:
2theta	intensity	h k l
26.23	0.6	1 0 1
42.90	100.0	1 1 2
44.69	44.3	2 0 0
59.45	8.9	0 0 4
65.05	13.4	2 2 0
77.34	15.6	2 0 4
81.12	27.5	3 1 2

=====

Starting from a PBE-relaxed structure, the powder XRD pattern of FeCu5Ge2 was computed for a wavelength of 1.5418 Å.

Structural model:
```
8
Lattice="4.0520 0.0000 0.0000 0.0000 4.0520 0.0000 0.0000 0.0000 6.2307" Properties=species:S:1:pos:R:3 pbc="T T T"
Fe 0.0000 0.0000 0.0000
Cu 0.0000 2.0260 1.5803
Cu 0.0000 2.0260 4.6504
Cu 2.0260 0.0000 1.5803
Cu 2.0260 0.0000 4.6504
Cu 2.0260 2.0260 3.1154
Ge 0.0000 0.0000 3.1154
Ge 2.0260 2.0260 0.0000
```

Principal peaks in the range 2θ from 10° to 90°, in order of rising 2θ:
2theta	intensity	h k l
26.24	0.6	1 0 1
42.88	100.0	1 1 2
44.73	44.1	2 0 0
59.33	9.0	0 0 4
65.11	13.3	2 2 0
77.26	15.7	2 0 4
81.17	27.4	3 1 2